The following is a theoretical powder diffraction line list of BaNpVO6. It was derived from a PBE+U-relaxed structure, using Cu Ka.
Neutral-atom scattering factors, no anomalous dispersion.

Principal peaks in the range 5 to 70 degrees two-theta, low angle first:
hkl  two_theta  I (rel.)
1 0 0  18.83  20
1 0 1  24.39  100
1 1 0  32.92  31
2 0 1  41.40  23
2 -1 2  45.86  37
3 -1 1  53.87  23

Structure:
```
9
Lattice="5.4413 0.0000 0.0000 -2.7206 4.7123 0.0000 0.0000 0.0000 5.7664" Properties=species:S:1:pos:R:3 pbc="T T T"
Ba 0.0000 0.0000 0.0000
Np 2.7206 1.5708 2.8832
V 0.0000 3.1415 2.8832
O -0.9774 1.8179 3.9762
O -1.6350 2.9569 1.7901
O 0.9774 1.8179 1.7901
O -0.6576 4.6498 3.9762
O 1.6350 2.9569 3.9762
O 0.6576 4.6498 1.7901
```